The following is a calculated powder diffractogram of Pt2W3N. It was derived from a GGA-PBE-relaxed structure, using a wavelength of 1.5418 Å.
Kinematic intensities with the Lorentz-polarization factor, no thermal factor.

Structure:
```
Pt2W3N
1.0
6.916 0.000 0.000
0.000 6.916 0.000
0.000 0.000 6.916
Pt W N
8 12 4
Cartesian
0.377 0.377 0.377
1.352 5.564 2.106
2.106 1.352 5.564
3.081 6.539 3.835
3.835 3.081 6.539
4.810 4.810 4.810
5.564 2.106 1.352
6.539 3.835 3.081
0.358 6.051 4.829
0.864 1.371 3.100
1.371 3.100 0.864
2.087 3.816 4.322
2.593 5.545 6.558
3.100 0.864 1.371
3.816 4.322 2.087
4.322 2.087 3.816
4.829 0.358 6.051
5.545 6.558 2.593
6.051 4.829 0.358
6.558 2.593 5.545
0.864 4.322 6.051
2.593 2.593 2.593
4.322 6.051 0.864
6.051 0.864 4.322
```

Main lines, low angle first (5 to 70 degrees two-theta):
36.76 deg, intensity 4; 39.07 deg, intensity 100; 41.28 deg, intensity 54; 43.40 deg, intensity 38; 49.30 deg, intensity 10; 56.45 deg, intensity 8; 59.80 deg, intensity 5; 66.20 deg, intensity 3; 67.75 deg, intensity 4; 69.28 deg, intensity 33


The following is a calculated powder diffractogram of Zr6Pt3N. It was derived from a GGA-PBE-relaxed structure, using a wavelength of 1.5418 Å.
Kinematic intensities with the Lorentz-polarization factor, no thermal factor.

Structure:
```
Zr6Pt3N
1.0
5.880 0.000 0.000
0.000 7.291 0.000
-5.155 0.000 9.040
Zr Pt N
12 6 2
Cartesian
-0.772 0.370 2.124
-3.350 3.275 6.644
0.837 5.266 0.608
-1.740 5.670 5.128
1.971 1.069 0.439
-0.607 2.576 4.959
1.332 4.715 4.081
-1.246 6.222 8.601
2.465 1.621 3.913
-0.113 2.025 8.433
4.074 4.016 2.396
1.497 6.921 6.917
-1.886 0.752 6.558
0.691 2.893 2.038
0.362 0.000 4.520
2.940 3.645 0.000
0.033 4.397 7.002
2.611 6.539 2.482
0.000 0.000 0.000
-2.578 3.645 4.520
```

Main lines, low angle first (5 to 70 degrees two-theta):
17.36 deg, intensity 29; 26.87 deg, intensity 42; 30.93 deg, intensity 37; 32.30 deg, intensity 41; 34.62 deg, intensity 30; 35.16 deg, intensity 100; 35.84 deg, intensity 51; 39.91 deg, intensity 52; 40.15 deg, intensity 54; 41.13 deg, intensity 43


The following is a calculated powder diffractogram of Pu3N5. It was derived from a GGA-PBE-relaxed structure, using a wavelength of 1.5418 Å.
Kinematic intensities with the Lorentz-polarization factor, no thermal factor.

Structure:
```
Pu3N5
1.0
2.716 -6.230 0.000
2.716 6.230 0.000
-1.990 0.000 6.106
Pu N
6 10
Cartesian
2.716 4.477 0.000
1.721 3.503 3.053
0.828 0.000 4.323
2.614 0.000 1.784
1.721 -3.503 3.053
2.716 -4.477 0.000
-0.096 2.400 4.776
0.514 1.337 2.298
-0.626 0.000 6.044
0.514 -1.337 2.298
-0.096 -2.400 4.776
3.538 2.400 1.330
2.928 1.337 3.808
4.068 0.000 0.062
2.928 -1.337 3.808
3.538 -2.400 1.330
```

Main lines, low angle first (5 to 70 degrees two-theta):
26.80 deg, intensity 27; 27.56 deg, intensity 100; 29.89 deg, intensity 46; 32.26 deg, intensity 40; 32.66 deg, intensity 42; 34.74 deg, intensity 25; 36.30 deg, intensity 21; 40.79 deg, intensity 31; 46.93 deg, intensity 23; 51.64 deg, intensity 26


Q: Which formula does entry 2 have?
A: Zr6Pt3N